Simulated powder XRD pattern
Compound: Ba2YCu2HgO7
Radiation: Cu Ka
Structure: DFT lattice parameters and positions (GGA-PBE)

Main lines, low angle first (10° ≤ 2θ ≤ 90°):
d (Å)  I/Imax
3.314  36.1
2.867  100.0
2.741  65.3
2.556  17.3
2.080  12.2
1.938  32.8
1.869  17.5
1.682  13.8
1.606  36.1
1.544  13.7

Cell and atoms:
```
data_Ba2YCu2HgO7
_chemical_formula_sum 'Ba2 Y1 Cu2 Hg1 O7'
_cell_length_a 3.8761
_cell_length_b 3.8761
_cell_length_c 12.7806
_cell_angle_alpha 90.00
_cell_angle_beta 90.00
_cell_angle_gamma 90.00
_symmetry_space_group_name_H-M 'P 4/m m m'
_symmetry_Int_Tables_number 123
_symmetry_space_group_name_Hall '-P 4 2'
loop_
_atom_site_label
_atom_site_type_symbol
_atom_site_fract_x
_atom_site_fract_y
_atom_site_fract_z
Ba1 Ba 0.0000 0.0000 0.2019
Y1 Y 0.0000 0.0000 0.5000
Cu1 Cu 0.5000 0.5000 0.3682
Hg1 Hg 0.5000 0.5000 0.0000
O1 O 0.0000 0.0000 0.0000
O2 O 0.0000 0.5000 0.3876
O3 O 0.5000 0.5000 0.1663
```